Record 1
Diffraction record for Er6Ge3C. The powder X-ray diffraction pattern is computed, not measured: it uses a cell relaxed with GGA-PBE and λ = 1.5418 Å (Cu Kα).
Neutral-atom scattering factors, no anomalous dispersion.

Principal peaks in the range 2θ = 10–90°, by intensity:
two_theta  d_spacing  intensity
30.61  2.920  100
33.08  2.708  56
32.11  2.787  54
32.83  2.728  53
29.66  3.012  48
28.89  3.091  40
38.18  2.357  29
30.90  2.893  24
39.27  2.294  23
49.99  1.824  22

Structural model:
a = 6.314 Å, b = 7.622 Å, c = 11.616 Å
α = 90.00°, β = 122.19°, γ = 90.00°
Sites, in units of the cell vectors:
Er: 0.096 0.049 0.232
Er: 0.096 0.451 0.732
Er: 0.205 0.707 0.063
Er: 0.205 0.793 0.563
Er: 0.383 0.163 0.062
Er: 0.383 0.337 0.562
Er: 0.617 0.663 0.438
Er: 0.617 0.837 0.938
Er: 0.795 0.207 0.437
Er: 0.795 0.293 0.937
Er: 0.904 0.549 0.268
Er: 0.904 0.951 0.768
Ge: 0.310 0.106 0.746
Ge: 0.310 0.394 0.246
Ge: 0.500 0.000 0.500
Ge: 0.500 0.500 0.000
Ge: 0.690 0.606 0.754
Ge: 0.690 0.894 0.254
C: 0.000 0.000 0.000
C: 0.000 0.500 0.500

Record 2
Diffraction record for Er2Hf2Ge2C. The powder X-ray diffraction pattern is computed, not measured: it uses a cell relaxed with GGA-PBE and λ = 1.5418 Å (Cu Kα).
Neutral-atom scattering factors, no anomalous dispersion.

Principal peaks in the range 2θ = 10–90°, by intensity:
two_theta  d_spacing  intensity
31.26  2.861  100
37.61  2.392  97
41.30  2.186  62
55.70  1.650  39
35.68  2.516  35
11.72  7.548  31
72.85  1.298  28
69.06  1.360  21
27.01  3.301  21
59.83  1.546  21

Structural model:
a = 8.157 Å, b = 8.157 Å, c = 8.157 Å
α = 148.91°, β = 148.91°, γ = 44.55°
Sites, in units of the cell vectors:
Er: 0.167 0.167 0.000
Er: 0.833 0.833 0.000
Hf: 0.000 0.500 0.500
Hf: 0.500 0.000 0.500
Ge: 0.367 0.367 0.000
Ge: 0.633 0.633 0.000
C: 0.000 0.000 0.000

Record 3
Diffraction record for Er3Ge2OsC. The powder X-ray diffraction pattern is computed, not measured: it uses a cell relaxed with GGA-PBE and λ = 1.5418 Å (Cu Kα).
Neutral-atom scattering factors, no anomalous dispersion.

Principal peaks in the range 2θ = 10–90°, by intensity:
two_theta  d_spacing  intensity
31.90  2.805  100
37.98  2.369  95
35.14  2.554  43
38.58  2.334  37
11.55  7.661  27
53.16  1.723  27
59.14  1.562  24
72.86  1.298  23
45.97  1.974  23
68.72  1.366  19

Structural model:
a = 8.249 Å, b = 8.249 Å, c = 8.249 Å
α = 152.31°, β = 147.13°, γ = 43.50°
Sites, in units of the cell vectors:
Er: 0.000 0.000 0.000
Er: 0.336 0.836 0.500
Er: 0.664 0.164 0.500
Ge: 0.146 0.646 0.500
Ge: 0.854 0.354 0.500
Os: 0.500 0.500 0.000
C: 0.500 0.000 0.500

Record 4
Diffraction record for Er3ScGe2C. The powder X-ray diffraction pattern is computed, not measured: it uses a cell relaxed with GGA-PBE and λ = 1.5418 Å (Cu Kα).
Neutral-atom scattering factors, no anomalous dispersion.

Principal peaks in the range 2θ = 10–90°, by intensity:
two_theta  d_spacing  intensity
36.96  2.432  100
30.44  2.937  94
26.28  3.391  44
39.13  2.302  40
35.84  2.506  39
40.79  2.212  35
27.97  3.190  32
20.93  4.244  31
57.80  1.595  25
36.12  2.487  25

Structural model:
a = 8.167 Å, b = 8.167 Å, c = 8.167 Å
α = 148.57°, β = 147.25°, γ = 46.03°
Sites, in units of the cell vectors:
Er: 0.000 0.000 0.000
Er: 0.334 0.834 0.500
Er: 0.666 0.166 0.500
Sc: 0.500 0.500 0.000
Ge: 0.137 0.637 0.500
Ge: 0.863 0.363 0.500
C: 0.500 0.000 0.500

Record 5
Diffraction record for Er8Ge3CSe3. The powder X-ray diffraction pattern is computed, not measured: it uses a cell relaxed with GGA-PBE and λ = 1.5418 Å (Cu Kα).
Neutral-atom scattering factors, no anomalous dispersion.

Principal peaks in the range 2θ = 10–90°, by intensity:
two_theta  d_spacing  intensity
31.27  2.860  100
44.95  2.017  35
44.68  2.028  31
27.05  3.296  30
55.78  1.648  16
74.33  1.276  12
73.93  1.282  10
41.04  2.199  9
65.24  1.430  9
26.84  3.322  9

Structural model:
a = 8.113 Å, b = 8.113 Å, c = 8.113 Å
α = 59.62°, β = 59.62°, γ = 59.62°
Sites, in units of the cell vectors:
Er: 0.247 0.247 0.247
Er: 0.271 0.720 0.720
Er: 0.280 0.280 0.729
Er: 0.280 0.729 0.280
Er: 0.720 0.271 0.720
Er: 0.720 0.720 0.271
Er: 0.729 0.280 0.280
Er: 0.753 0.753 0.753
Ge: 0.000 0.000 0.500
Ge: 0.000 0.500 0.000
Ge: 0.500 0.000 0.000
C: 0.500 0.500 0.500
Se: 0.000 0.500 0.500
Se: 0.500 0.000 0.500
Se: 0.500 0.500 0.000

Record 6
Diffraction record for Er4HCN2. The powder X-ray diffraction pattern is computed, not measured: it uses a cell relaxed with GGA-PBE and λ = 1.5418 Å (Cu Kα).
Neutral-atom scattering factors, no anomalous dispersion.

Principal peaks in the range 2θ = 10–90°, by intensity:
two_theta  d_spacing  intensity
31.61  2.831  100
36.78  2.444  43
63.02  1.475  29
52.72  1.736  29
36.41  2.467  21
52.99  1.728  15
66.00  1.415  15
62.53  1.485  13
86.38  1.126  11
89.72  1.093  7

Structural model:
a = 6.025 Å, b = 6.025 Å, c = 6.025 Å
α = 132.14°, β = 132.14°, γ = 70.01°
Sites, in units of the cell vectors:
Er: 0.000 0.500 0.500
Er: 0.238 0.238 0.000
Er: 0.500 0.000 0.500
Er: 0.762 0.762 0.000
H: 0.500 0.500 0.000
C: 0.000 0.000 0.000
N: 0.250 0.750 0.500
N: 0.750 0.250 0.500

Record 7
Diffraction record for ErH9C5N2O8. The powder X-ray diffraction pattern is computed, not measured: it uses a cell relaxed with GGA-PBE and λ = 1.5418 Å (Cu Kα).
Neutral-atom scattering factors, no anomalous dispersion.

Principal peaks in the range 2θ = 10–90°, by intensity:
two_theta  d_spacing  intensity
14.78  5.992  100
18.54  4.785  50
14.30  6.194  45
29.84  2.994  42
22.52  3.948  39
16.66  5.320  31
28.01  3.186  28
17.94  4.944  23
33.69  2.660  21
35.68  2.516  20

Structural model:
a = 6.714 Å, b = 6.714 Å, c = 6.580 Å
α = 106.50°, β = 106.50°, γ = 65.36°
Sites, in units of the cell vectors:
Er: 0.000 0.000 0.000
H: 0.168 0.467 0.121
H: 0.267 0.490 0.537
H: 0.362 0.204 0.406
H: 0.510 0.733 0.463
H: 0.533 0.832 0.879
H: 0.541 0.442 0.827
H: 0.558 0.459 0.173
H: 0.796 0.638 0.594
H: 0.919 0.081 0.500
C: 0.055 0.471 0.961
C: 0.071 0.929 0.500
C: 0.529 0.945 0.039
C: 0.538 0.291 0.707
C: 0.709 0.462 0.293
N: 0.375 0.329 0.537
N: 0.671 0.625 0.463
O: 0.004 0.641 0.878
O: 0.146 0.842 0.668
O: 0.158 0.854 0.332
O: 0.359 0.996 0.122
O: 0.679 0.101 0.736
O: 0.687 0.014 0.126
O: 0.899 0.321 0.264
O: 0.986 0.313 0.874

Record 8
Diffraction record for Er7Hg2C2. The powder X-ray diffraction pattern is computed, not measured: it uses a cell relaxed with GGA-PBE and λ = 1.5418 Å (Cu Kα).
Neutral-atom scattering factors, no anomalous dispersion.

Principal peaks in the range 2θ = 10–90°, by intensity:
two_theta  d_spacing  intensity
29.88  2.990  100
34.66  2.588  67
19.71  4.504  49
32.09  2.789  47
35.34  2.540  42
14.22  6.228  40
28.67  3.113  39
35.09  2.557  39
37.16  2.420  37
55.59  1.653  30

Structural model:
a = 6.719 Å, b = 6.719 Å, c = 7.782 Å
α = 94.06°, β = 94.06°, γ = 111.26°
Sites, in units of the cell vectors:
Er: 0.000 0.000 0.000
Er: 0.059 0.440 0.784
Er: 0.414 0.414 0.187
Er: 0.440 0.059 0.784
Er: 0.560 0.941 0.216
Er: 0.586 0.586 0.813
Er: 0.941 0.560 0.216
Hg: 0.319 0.681 0.500
Hg: 0.681 0.319 0.500
C: 0.288 0.288 0.896
C: 0.712 0.712 0.104